Simulated XRD peak list of Al5C7 for CuKα, from a DFT-relaxed cell (GGA-PBE, Alexandria).

Peak list (10 most intense, 5 to 70 degrees two-theta, most intense first)
2θ 31.9, I = 100, hkl 2 1 1; 2θ 39.5, I = 58, hkl 3 0 1; 2θ 22.1, I = 50, hkl 1 0 1; 2θ 32.4, I = 48, hkl 2 2 0; 2θ 49.4, I = 40, hkl 3 3 0; 2θ 64.2, I = 39, hkl 3 3 2; 2θ 38.3, I = 36, hkl 0 0 2; 2θ 52.0, I = 26, hkl 4 1 1; 2θ 46.1, I = 24, hkl 3 2 1; 2θ 45.0, I = 13, hkl 2 0 2

Structure:
Cell lengths 7.8214, 7.8214, 4.7039 Å; angles 90.00, 90.00, 90.00 degrees
Space group I4mm (No. 107)
Unique sites:
Al 0.0000 0.0000 0.0000 x2
Al 0.1729 0.1729 0.4443 x8
C 0.0000 0.0000 0.6024 x2
C 0.0000 0.3683 0.3961 x8
C 0.0000 0.5000 0.1512 x4